Diffraction record for AcMgNi2H6. The powder X-ray diffraction pattern is theoretical, not measured: it uses a cell relaxed with PBE and Cu Kα (λ = 1.5418 Å).
Lines closer than 0.1° are merged.

Lattice parameters (Å, degrees): 6.086 6.086 6.086 44.37 44.37 44.37
Atoms (fractional coordinates):
Ac 0.000 0.000 0.000
Mg 0.500 0.500 0.500
Ni 0.209 0.209 0.209
Ni 0.791 0.791 0.791
H 0.069 0.576 0.576
H 0.424 0.424 0.931
H 0.424 0.931 0.424
H 0.576 0.069 0.576
H 0.576 0.576 0.069
H 0.931 0.424 0.424

Principal peaks in the range 2θ from 15° to 90°, sorted by position:
d = 3.869 Å, 22.99 deg, rel. 100
d = 3.583 Å, 24.85 deg, rel. 27
d = 2.859 Å, 31.29 deg, rel. 92
d = 2.534 Å, 35.42 deg, rel. 70
d = 2.298 Å, 39.20 deg, rel. 71
d = 1.791 Å, 50.98 deg, rel. 23
d = 1.761 Å, 51.94 deg, rel. 28
d = 1.430 Å, 65.27 deg, rel. 23
d = 1.413 Å, 66.14 deg, rel. 21
d = 1.368 Å, 68.59 deg, rel. 20